Simulated XRD peak list
Compound: Li5NiO3F
Radiation: a wavelength of 1.5418 Å
Structure: DFT lattice parameters and positions (GGA+U)
Neutral-atom scattering factors, no anomalous dispersion.

Cell and atoms:
Unit cell a=6.734 b=6.734 c=4.718 alpha=101.37 beta=101.37 gamma=89.85
Atoms (fractional coordinates):
Li1 0.092 0.652 0.617
Li2 0.141 0.141 0.870
Li3 0.157 0.581 0.129
Li4 0.348 0.908 0.383
Li5 0.419 0.843 0.871
Li6 0.581 0.157 0.129
Li7 0.652 0.092 0.617
Li8 0.843 0.419 0.871
Li9 0.859 0.859 0.130
Li10 0.908 0.348 0.383
Ni1 0.374 0.374 0.632
Ni2 0.626 0.626 0.368
O1 0.105 0.399 0.751
O2 0.357 0.643 0.500
O3 0.399 0.105 0.751
O4 0.601 0.895 0.249
O5 0.643 0.357 0.500
O6 0.895 0.601 0.249
F1 0.145 0.855 0.000
F2 0.855 0.145 0.000

Most intense lines, 2θ = 5–70°, in order of falling intensity:
two_theta, I/Imax
26.0, 100.0
13.4, 65.6
41.9, 44.8
55.6, 16.8
55.7, 16.6
49.6, 15.4
27.2, 12.1
43.7, 11.9
19.6, 11.7
23.5, 11.7
29.8, 11.2
30.8, 10.9

=====

Simulated XRD peak list
Compound: Li4Ni2OF7
Radiation: a wavelength of 1.5418 Å
Structure: DFT lattice parameters and positions (GGA+U)
Neutral-atom scattering factors, no anomalous dispersion.

Cell and atoms:
Unit cell a=5.959 b=5.959 c=5.863 alpha=119.19 beta=119.19 gamma=60.22
Atoms (fractional coordinates):
Li1 0.000 0.000 0.000
Li2 0.025 0.025 0.529
Li3 0.411 0.411 0.682
Li4 0.634 0.634 0.399
Ni1 0.027 0.514 0.043
Ni2 0.514 0.027 0.043
O1 0.291 0.291 0.274
F1 0.239 0.776 0.260
F2 0.265 0.265 0.788
F3 0.268 0.803 0.798
F4 0.768 0.768 0.804
F5 0.775 0.775 0.278
F6 0.776 0.239 0.260
F7 0.803 0.268 0.798

Most intense lines, 2θ = 5–70°, in order of falling intensity:
two_theta, I/Imax
18.4, 100.0
18.3, 98.0
43.2, 79.8
35.3, 57.7
20.9, 50.6
42.5, 41.9
62.1, 38.0
35.3, 32.2
30.5, 26.4
62.3, 24.2
29.9, 19.2
35.0, 14.4

=====

Simulated XRD peak list
Compound: Li5Ni5O9F
Radiation: a wavelength of 1.5418 Å
Structure: DFT lattice parameters and positions (GGA+U)
Neutral-atom scattering factors, no anomalous dispersion.

Cell and atoms:
Unit cell a=5.017 b=5.818 c=6.635 alpha=102.86 beta=98.60 gamma=107.18
Atoms (fractional coordinates):
Li1 0.000 0.000 0.000
Li2 0.175 0.407 0.399
Li3 0.381 0.790 0.797
Li4 0.579 0.205 0.199
Li5 0.781 0.605 0.600
Ni1 0.183 0.902 0.397
Ni2 0.373 0.305 0.796
Ni3 0.588 0.704 0.192
Ni4 0.781 0.101 0.590
Ni5 0.989 0.512 0.994
O1 0.056 0.428 0.690
O2 0.077 0.981 0.697
O3 0.303 0.368 0.082
O4 0.309 0.847 0.108
O5 0.478 0.232 0.519
O6 0.479 0.778 0.495
O7 0.663 0.623 0.888
O8 0.879 0.575 0.290
O9 0.892 0.029 0.298
F1 0.684 0.141 0.907

Most intense lines, 2θ = 5–70°, in order of falling intensity:
two_theta, I/Imax
18.5, 100.0
43.0, 27.0
44.2, 24.3
44.5, 23.7
35.6, 17.6
36.4, 14.0
63.4, 14.0
36.7, 13.3
37.6, 11.6
48.0, 11.3
38.0, 10.7
63.7, 7.0

=====

Simulated XRD peak list
Compound: Li3NiOF3
Radiation: a wavelength of 1.5418 Å
Structure: DFT lattice parameters and positions (GGA+U)
Neutral-atom scattering factors, no anomalous dispersion.

Cell and atoms:
Unit cell a=2.912 b=2.912 c=8.333 alpha=90.00 beta=90.00 gamma=90.00
Atoms (fractional coordinates):
Li1 0.000 0.000 0.000
Li2 0.500 0.500 0.248
Li3 0.500 0.500 0.752
Ni1 0.000 0.000 0.500
O1 0.500 0.500 0.500
F1 0.000 0.000 0.241
F2 0.000 0.000 0.759
F3 0.500 0.500 0.000

Most intense lines, 2θ = 5–70°, in order of falling intensity:
two_theta, I/Imax
10.6, 100.0
44.0, 47.2
32.6, 35.6
63.5, 25.9
43.4, 24.2
21.3, 23.4
30.7, 22.4
45.1, 18.2
63.9, 12.8
45.4, 10.9
32.2, 10.3
49.4, 9.1

=====

Simulated XRD peak list
Compound: Li2Ni4OF8
Radiation: a wavelength of 1.5418 Å
Structure: DFT lattice parameters and positions (GGA+U)
Neutral-atom scattering factors, no anomalous dispersion.

Cell and atoms:
Unit cell a=5.159 b=5.159 c=14.063 alpha=90.45 beta=90.45 gamma=59.43
Atoms (fractional coordinates):
Li1 0.012 0.970 0.797
Li2 0.012 0.988 0.500
Li3 0.970 0.012 0.297
Li4 0.988 0.012 0.000
Ni1 0.314 0.346 0.836
Ni2 0.337 0.337 0.143
Ni3 0.337 0.337 0.643
Ni4 0.346 0.314 0.336
Ni5 0.650 0.699 0.178
Ni6 0.659 0.677 0.974
Ni7 0.677 0.659 0.474
Ni8 0.699 0.650 0.678
O1 0.051 0.617 0.736
O2 0.617 0.051 0.236
F1 0.009 0.350 0.240
F2 0.013 0.672 0.409
F3 0.307 0.694 0.907
F4 0.317 0.659 0.239
F5 0.320 0.990 0.408
F6 0.346 0.987 0.069
F7 0.350 0.009 0.740
F8 0.382 0.659 0.573
F9 0.659 0.317 0.739
F10 0.659 0.382 0.073
F11 0.672 0.013 0.909
F12 0.673 0.970 0.571
F13 0.694 0.307 0.407
F14 0.970 0.673 0.071
F15 0.987 0.346 0.569
F16 0.990 0.320 0.908

Most intense lines, 2θ = 5–70°, in order of falling intensity:
two_theta, I/Imax
20.0, 100.0
53.0, 83.4
32.4, 82.6
32.5, 62.9
34.8, 61.5
23.7, 60.9
19.8, 57.7
62.7, 42.9
52.6, 42.9
48.6, 34.6
40.2, 32.5
35.1, 24.9

=====

Simulated XRD peak list
Compound: Li3Ni2OF5
Radiation: a wavelength of 1.5418 Å
Structure: DFT lattice parameters and positions (GGA+U)
Neutral-atom scattering factors, no anomalous dispersion.

Cell and atoms:
Unit cell a=9.723 b=9.267 c=5.110 alpha=79.38 beta=69.51 gamma=31.10
Atoms (fractional coordinates):
Li1 0.000 0.000 0.000
Li2 0.250 0.250 0.250
Li3 0.323 0.323 0.677
Li4 0.579 0.579 0.921
Li5 0.677 0.677 0.323
Li6 0.921 0.921 0.579
Ni1 0.078 0.078 0.422
Ni2 0.422 0.422 0.078
Ni3 0.500 0.500 0.500
Ni4 0.750 0.750 0.750
O1 0.258 0.742 0.258
O2 0.742 0.258 0.742
F1 0.101 0.562 0.431
F2 0.175 0.659 0.832
F3 0.334 0.832 0.659
F4 0.431 0.907 0.101
F5 0.511 0.989 0.511
F6 0.562 0.101 0.907
F7 0.659 0.175 0.334
F8 0.832 0.334 0.175
F9 0.907 0.431 0.562
F10 0.989 0.511 0.989

Most intense lines, 2θ = 5–70°, in order of falling intensity:
two_theta, I/Imax
23.9, 100.0
43.5, 70.3
63.1, 37.7
43.4, 34.9
19.1, 25.5
39.0, 24.5
10.1, 21.1
59.7, 14.4
21.3, 14.2
50.1, 12.6
50.4, 11.8
62.9, 10.0

=====

- Number 6 is which compound?
  Li3Ni2OF5